Record 1
Structure and computed powder diffractogram of LaTi6O12 (a cell relaxed with PBE; a wavelength of 1.5418 Å).

```
LaTi6O12
1.0
6.707 0.000 0.000
3.201 6.546 0.000
1.434 -0.368 9.653
La Ti O
2 12 24
direct
0.246 0.059 0.440
0.754 0.941 0.560
0.070 0.426 0.151
0.121 0.900 0.758
0.226 0.608 0.329
0.290 0.471 0.623
0.354 0.061 0.886
0.431 0.406 0.922
0.569 0.594 0.078
0.646 0.939 0.114
0.710 0.529 0.377
0.774 0.392 0.671
0.879 0.100 0.242
0.930 0.574 0.849
0.037 0.902 0.360
0.059 0.401 0.667
0.069 0.062 0.900
0.161 0.346 0.944
0.167 0.167 0.219
0.196 0.729 0.557
0.232 0.622 0.817
0.317 0.512 0.128
0.342 0.374 0.433
0.385 0.964 0.703
0.430 0.862 0.019
0.462 0.718 0.296
0.538 0.282 0.704
0.570 0.138 0.981
0.615 0.036 0.297
0.658 0.626 0.567
0.683 0.488 0.872
0.768 0.378 0.183
0.804 0.271 0.443
0.833 0.833 0.781
0.839 0.654 0.056
0.931 0.938 0.100
0.941 0.599 0.333
0.963 0.098 0.640
```

Principal peaks in the range 2θ from 10° to 90°, low angle first:
2θ 16.66, d = 5.322 Å, I 33.0; 2θ 25.16, d = 3.540 Å, I 36.6; 2θ 25.42, d = 3.504 Å, I 70.5; 2θ 27.27, d = 3.271 Å, I 93.6; 2θ 28.83, d = 3.097 Å, I 100.0; 2θ 30.02, d = 2.977 Å, I 60.7; 2θ 32.75, d = 2.735 Å, I 54.0; 2θ 33.21, d = 2.697 Å, I 36.0; 2θ 33.89, d = 2.645 Å, I 42.6; 2θ 40.33, d = 2.237 Å, I 57.7; 2θ 41.54, d = 2.174 Å, I 64.8; 2θ 52.70, d = 1.737 Å, I 58.4

Record 2
Structure and computed powder diffractogram of LiLaTi2O6 (a cell relaxed with PBE; a wavelength of 1.5418 Å).

```
LiLaTi2O6
1.0
0.000 3.890 3.890
3.890 0.000 3.890
3.890 3.890 0.000
Li La Ti O
1 1 2 6
direct
0.000 0.000 0.000
0.500 0.500 0.500
0.250 0.250 0.250
0.750 0.750 0.750
0.000 0.000 0.500
0.000 0.500 0.000
0.000 0.500 0.500
0.500 0.000 0.000
0.500 0.000 0.500
0.500 0.500 0.000
```

Principal peaks in the range 2θ from 10° to 90°, low angle first:
2θ 19.76, d = 4.492 Å, I 96.8; 2θ 32.55, d = 2.751 Å, I 100.0; 2θ 38.37, d = 2.346 Å, I 53.5; 2θ 40.15, d = 2.246 Å, I 18.9; 2θ 46.70, d = 1.945 Å, I 46.2; 2θ 51.18, d = 1.785 Å, I 23.3; 2θ 58.08, d = 1.588 Å, I 38.0; 2θ 61.98, d = 1.497 Å, I 17.4; 2θ 68.19, d = 1.375 Å, I 25.8; 2θ 71.78, d = 1.315 Å, I 16.8; 2θ 77.61, d = 1.230 Å, I 16.2; 2θ 86.71, d = 1.123 Å, I 8.5

Record 3
Structure and computed powder diffractogram of ErNiGe3 (a cell relaxed with PBE; a wavelength of 1.5418 Å).

```
ErNiGe3
1.0
2.046 -10.782 0.000
2.046 10.782 0.000
0.000 0.000 4.071
Er Ni Ge
2 2 6
direct
0.169 0.831 0.000
0.831 0.169 0.000
0.389 0.611 0.500
0.611 0.389 0.500
0.058 0.942 0.500
0.283 0.717 0.500
0.443 0.557 0.000
0.557 0.443 0.000
0.717 0.283 0.500
0.942 0.058 0.500
```

Principal peaks in the range 2θ from 10° to 90°, low angle first:
2θ 33.25, d = 2.695 Å, I 36.1; 2θ 33.45, d = 2.678 Å, I 100.0; 2θ 37.49, d = 2.399 Å, I 13.0; 2θ 43.78, d = 2.068 Å, I 21.9; 2θ 44.26, d = 2.046 Å, I 24.4; 2θ 44.51, d = 2.035 Å, I 24.0; 2θ 56.46, d = 1.630 Å, I 15.8; 2θ 64.21, d = 1.451 Å, I 13.7; 2θ 64.58, d = 1.443 Å, I 15.5; 2θ 73.61, d = 1.287 Å, I 8.7; 2θ 74.55, d = 1.273 Å, I 13.7; 2θ 74.90, d = 1.268 Å, I 9.5

Record 4
Structure and computed powder diffractogram of Al2CdS4 (a cell relaxed with PBE; a wavelength of 1.5418 Å).

```
Al2CdS4
1.0
-2.820 2.820 5.128
2.820 -2.820 5.128
2.820 2.820 -5.128
Al Cd S
2 1 4
direct
0.000 0.000 0.000
0.750 0.250 0.500
0.500 0.500 0.000
0.085 0.102 0.455
0.370 0.915 0.016
0.646 0.630 0.545
0.898 0.354 0.984
```

Principal peaks in the range 2θ from 10° to 90°, low angle first:
2θ 17.29, d = 5.128 Å, I 17.2; 2θ 17.95, d = 4.942 Å, I 42.2; 2θ 22.29, d = 3.988 Å, I 27.0; 2θ 28.35, d = 3.148 Å, I 100.0; 2θ 30.58, d = 2.923 Å, I 19.8; 2θ 36.36, d = 2.471 Å, I 18.5; 2θ 36.69, d = 2.449 Å, I 24.2; 2θ 45.49, d = 1.994 Å, I 23.3; 2θ 47.96, d = 1.897 Å, I 40.2; 2θ 54.48, d = 1.684 Å, I 27.1; 2θ 58.77, d = 1.571 Å, I 10.9; 2θ 85.89, d = 1.132 Å, I 12.6

Copy entry 1 word for word.
Structure and computed powder diffractogram of LaTi6O12 (a cell relaxed with PBE; a wavelength of 1.5418 Å).

```
LaTi6O12
1.0
6.707 0.000 0.000
3.201 6.546 0.000
1.434 -0.368 9.653
La Ti O
2 12 24
direct
0.246 0.059 0.440
0.754 0.941 0.560
0.070 0.426 0.151
0.121 0.900 0.758
0.226 0.608 0.329
0.290 0.471 0.623
0.354 0.061 0.886
0.431 0.406 0.922
0.569 0.594 0.078
0.646 0.939 0.114
0.710 0.529 0.377
0.774 0.392 0.671
0.879 0.100 0.242
0.930 0.574 0.849
0.037 0.902 0.360
0.059 0.401 0.667
0.069 0.062 0.900
0.161 0.346 0.944
0.167 0.167 0.219
0.196 0.729 0.557
0.232 0.622 0.817
0.317 0.512 0.128
0.342 0.374 0.433
0.385 0.964 0.703
0.430 0.862 0.019
0.462 0.718 0.296
0.538 0.282 0.704
0.570 0.138 0.981
0.615 0.036 0.297
0.658 0.626 0.567
0.683 0.488 0.872
0.768 0.378 0.183
0.804 0.271 0.443
0.833 0.833 0.781
0.839 0.654 0.056
0.931 0.938 0.100
0.941 0.599 0.333
0.963 0.098 0.640
```

Principal peaks in the range 2θ from 10° to 90°, low angle first:
2θ 16.66, d = 5.322 Å, I 33.0; 2θ 25.16, d = 3.540 Å, I 36.6; 2θ 25.42, d = 3.504 Å, I 70.5; 2θ 27.27, d = 3.271 Å, I 93.6; 2θ 28.83, d = 3.097 Å, I 100.0; 2θ 30.02, d = 2.977 Å, I 60.7; 2θ 32.75, d = 2.735 Å, I 54.0; 2θ 33.21, d = 2.697 Å, I 36.0; 2θ 33.89, d = 2.645 Å, I 42.6; 2θ 40.33, d = 2.237 Å, I 57.7; 2θ 41.54, d = 2.174 Å, I 64.8; 2θ 52.70, d = 1.737 Å, I 58.4